Entry 1:
Structure and calculated X-ray diffraction stick pattern of Sr2HfSnO6 (the GGA-PBE geometry in Alexandria; Cu Ka).

Main lines, by angle (2θ from 10° to 90°):
two_theta, d [Å], Rel. int.
21.66, 4.102, 17.0
30.81, 2.902, 100.0
30.88, 2.896, 19.5
44.15, 2.051, 34.2
54.74, 1.677, 24.6
54.89, 1.673, 26.8
64.23, 1.450, 13.4
89.48, 1.095, 11.8

Structure:
```
data_Sr2HfSnO6
_cell_length_a 5.7915
_cell_length_b 5.8169
_cell_length_c 10.0355
_cell_angle_alpha 90.00
_cell_angle_beta 125.23
_cell_angle_gamma 90.00
_space_group_name_H-M_alt 'P 1 21/c 1'
_space_group_IT_number 14
_space_group_name_Hall '-P 2ybc'
loop_
_atom_site_label
_atom_site_type_symbol
_atom_site_fract_x
_atom_site_fract_y
_atom_site_fract_z
Sr1 Sr 0.2440 0.0255 0.2497
Hf1 Hf 0.5000 0.0000 0.0000
Sn1 Sn 0.0000 0.0000 0.5000
O1 O 0.1846 0.2187 0.9653
O2 O 0.2459 0.7198 0.9646
O3 O 0.3171 0.0140 0.7504
```

***

Entry 2:
Structure and calculated X-ray diffraction stick pattern of Sr3U3ZnN8 (the GGA-PBE geometry in Alexandria; Cu Ka).

Main lines, by angle (2θ from 10° to 90°):
two_theta, d [Å], Rel. int.
15.02, 5.900, 62.4
30.19, 2.960, 28.8
30.30, 2.950, 37.7
31.46, 2.843, 96.9
36.15, 2.484, 100.0
51.30, 1.781, 34.1
52.81, 1.733, 33.7
62.10, 1.495, 36.0

Structure:
```
data_Sr3U3ZnN8
_cell_length_a 6.9337
_cell_length_b 6.9337
_cell_length_c 17.6987
_cell_angle_alpha 90.00
_cell_angle_beta 90.00
_cell_angle_gamma 120.00
_space_group_name_H-M_alt 'R -3 m'
_space_group_IT_number 166
_space_group_name_Hall '-R 3 2"'
loop_
_atom_site_label
_atom_site_type_symbol
_atom_site_fract_x
_atom_site_fract_y
_atom_site_fract_z
Sr1 Sr 0.0000 0.5000 0.0000
U1 U 0.0000 0.5000 0.5000
Zn1 Zn 0.0000 0.0000 0.5000
N1 N 0.0000 0.0000 0.2346
N2 N 0.0190 0.5095 0.7723
```